[1]
Calculated powder X-ray diffraction pattern of Hg4Sb2I for Cu Kα, from a PBE-relaxed structure.
Lines closer than 0.1° are merged.

Peak list (10 most intense, 15° ≤ 2θ ≤ 90°, in order of rising 2θ)
2θ/deg  d (Å)  I (rel.)  hkl
27.66  3.225  100  1 3 1
29.06  3.073  12  1 1 3
29.46  3.032  59  0 2 4
30.07  2.972  37  1 3 2
36.17  2.483  18  1 5 0
38.70  2.327  17  1 5 2
40.00  2.254  39  1 1 5
40.45  2.230  29  2 0 0
41.70  2.166  22  1 5 3
50.81  1.797  32  2 2 4

Crystal structure
a b c (Å): 4.4601 14.9585 13.2645
angles (deg): 90.00 90.00 90.00
Space group Pbcm (No. 57)
Inequivalent atoms, fractional coordinates:
Hg  0.2481  0.0061  0.1351 [8 per cell]
Hg  0.2478  0.2500  0.0000 [4 per cell]
Hg  0.2511  0.6887  0.2500 [4 per cell]
Sb  0.2522  0.6337  0.0474 [8 per cell]
I  0.2496  0.1491  0.7500 [4 per cell]

***

[2]
Calculated powder X-ray diffraction pattern of TaNiPd2 for Cu Kα, from a PBE-relaxed structure.
Lines closer than 0.1° are merged.

Peak list (10 most intense, 15° ≤ 2θ ≤ 90°, in order of rising 2θ)
2θ/deg  d (Å)  I (rel.)  hkl
25.87  3.444  17  1 1 0
38.09  2.363  32  0 2 1
40.40  2.233  44  2 0 0
42.41  2.131  64  1 0 2
43.32  2.088  100  1 2 1
56.73  1.623  20  2 2 1
67.48  1.388  18  0 2 3
75.49  1.259  19  3 2 1
81.69  1.179  21  2 2 3
84.91  1.142  17  1 4 2

Crystal structure
a b c (Å): 4.4651 5.4108 4.8512
angles (deg): 90.00 90.00 90.00
Space group Pmmn (No. 59, origin choice 2)
Inequivalent atoms, fractional coordinates:
Ta  0.2500  0.2500  0.1452 [2 per cell]
Ni  0.2500  0.7500  0.1577 [2 per cell]
Pd  0.2500  0.0001  0.6666 [4 per cell]

***

What did the second record say?
Calculated powder X-ray diffraction pattern of TaNiPd2 for Cu Kα, from a PBE-relaxed structure.
Lines closer than 0.1° are merged.

Peak list (10 most intense, 15° ≤ 2θ ≤ 90°, in order of rising 2θ)
2θ/deg  d (Å)  I (rel.)  hkl
25.87  3.444  17  1 1 0
38.09  2.363  32  0 2 1
40.40  2.233  44  2 0 0
42.41  2.131  64  1 0 2
43.32  2.088  100  1 2 1
56.73  1.623  20  2 2 1
67.48  1.388  18  0 2 3
75.49  1.259  19  3 2 1
81.69  1.179  21  2 2 3
84.91  1.142  17  1 4 2

Crystal structure
a b c (Å): 4.4651 5.4108 4.8512
angles (deg): 90.00 90.00 90.00
Space group Pmmn (No. 59, origin choice 2)
Inequivalent atoms, fractional coordinates:
Ta  0.2500  0.2500  0.1452 [2 per cell]
Ni  0.2500  0.7500  0.1577 [2 per cell]
Pd  0.2500  0.0001  0.6666 [4 per cell]

***

Copy entry 2 word for word.
Calculated powder X-ray diffraction pattern of TaNiPd2 for Cu Kα, from a PBE-relaxed structure.
Lines closer than 0.1° are merged.

Peak list (10 most intense, 15° ≤ 2θ ≤ 90°, in order of rising 2θ)
2θ/deg  d (Å)  I (rel.)  hkl
25.87  3.444  17  1 1 0
38.09  2.363  32  0 2 1
40.40  2.233  44  2 0 0
42.41  2.131  64  1 0 2
43.32  2.088  100  1 2 1
56.73  1.623  20  2 2 1
67.48  1.388  18  0 2 3
75.49  1.259  19  3 2 1
81.69  1.179  21  2 2 3
84.91  1.142  17  1 4 2

Crystal structure
a b c (Å): 4.4651 5.4108 4.8512
angles (deg): 90.00 90.00 90.00
Space group Pmmn (No. 59, origin choice 2)
Inequivalent atoms, fractional coordinates:
Ta  0.2500  0.2500  0.1452 [2 per cell]
Ni  0.2500  0.7500  0.1577 [2 per cell]
Pd  0.2500  0.0001  0.6666 [4 per cell]